This entry pairs a crystal structure of UCuSi2Ni with its theoretical X-ray powder pattern. Radiation: copper Kα. Structure: the GGA-PBE geometry in the Materials Project.
Intensities are scaled so that the largest is 100.

Largest 8 diffraction maxima, in order of rising 2θ, 2θ from 5° to 70°:
| 2θ (°) | intensity |
| --- | --- |
| 24.31 | 73 |
| 35.81 | 57 |
| 36.95 | 18 |
| 37.10 | 100 |
| 45.92 | 36 |
| 52.41 | 21 |
| 52.62 | 20 |
| 59.56 | 27 |

Crystal structure
Cell: 5.611 5.611 5.611 Å, 138.75 138.75 59.75°
Positions (direct):
U: 0.000 0.000 0.000
Cu: 0.250 0.750 0.500
Si: 0.380 0.380 0.000
Si: 0.620 0.620 0.000
Ni: 0.750 0.250 0.500



This entry pairs a crystal structure of Ba3Cl2O2 with its theoretical X-ray powder pattern. Radiation: copper Kα. Structure: the GGA-PBE geometry in the Materials Project.
Intensities are scaled so that the largest is 100.

Largest 8 diffraction maxima, in order of rising 2θ, 2θ from 5° to 70°:
| 2θ (°) | intensity |
| --- | --- |
| 9.21 | 43 |
| 12.83 | 32 |
| 19.11 | 38 |
| 23.32 | 33 |
| 26.29 | 88 |
| 28.42 | 100 |
| 29.55 | 48 |
| 29.82 | 46 |

Crystal structure
Cell: 19.214 6.278 7.392 Å, 90.00 90.00 90.00°
Positions (direct):
Ba: 0.023 0.250 0.157
Ba: 0.107 0.250 0.681
Ba: 0.164 0.750 0.045
Ba: 0.336 0.250 0.545
Ba: 0.393 0.750 0.181
Ba: 0.477 0.750 0.657
Ba: 0.523 0.250 0.343
Ba: 0.607 0.250 0.819
Ba: 0.664 0.750 0.455
Ba: 0.836 0.250 0.955
Ba: 0.893 0.750 0.319
Ba: 0.977 0.750 0.843
Cl: 0.058 0.750 0.408
Cl: 0.232 0.250 0.211
Cl: 0.268 0.750 0.711
Cl: 0.442 0.250 0.908
Cl: 0.558 0.750 0.092
Cl: 0.732 0.250 0.289
Cl: 0.768 0.750 0.789
Cl: 0.942 0.250 0.592
O: 0.081 0.000 0.916
O: 0.081 0.500 0.916
O: 0.419 0.000 0.416
O: 0.419 0.500 0.416
O: 0.581 0.000 0.584
O: 0.581 0.500 0.584
O: 0.919 0.000 0.084
O: 0.919 0.500 0.084



This entry pairs a crystal structure of GdSO4F with its theoretical X-ray powder pattern. Radiation: copper Kα. Structure: the GGA-PBE geometry in the Materials Project.
Intensities are scaled so that the largest is 100.

Largest 8 diffraction maxima, in order of rising 2θ, 2θ from 5° to 70°:
| 2θ (°) | intensity |
| --- | --- |
| 17.15 | 50 |
| 18.51 | 53 |
| 20.83 | 61 |
| 24.97 | 55 |
| 25.12 | 100 |
| 32.05 | 93 |
| 44.72 | 29 |
| 48.82 | 47 |

Crystal structure
Cell: 8.530 7.091 6.504 Å, 90.00 90.00 90.00°
Positions (direct):
Gd: 0.055 0.250 0.151
Gd: 0.445 0.750 0.651
Gd: 0.555 0.250 0.349
Gd: 0.945 0.750 0.849
S: 0.092 0.750 0.314
S: 0.408 0.250 0.814
S: 0.592 0.750 0.186
S: 0.908 0.250 0.686
O: 0.018 0.250 0.513
O: 0.060 0.584 0.175
O: 0.060 0.916 0.175
O: 0.244 0.250 0.880
O: 0.256 0.750 0.380
O: 0.440 0.084 0.675
O: 0.440 0.416 0.675
O: 0.482 0.750 0.013
O: 0.518 0.250 0.987
O: 0.560 0.584 0.325
O: 0.560 0.916 0.325
O: 0.744 0.250 0.620
O: 0.756 0.750 0.120
O: 0.940 0.084 0.825
O: 0.940 0.416 0.825
O: 0.982 0.750 0.487
F: 0.206 0.750 0.799
F: 0.294 0.250 0.299
F: 0.706 0.750 0.701
F: 0.794 0.250 0.201



This entry pairs a crystal structure of LuCl3 with its theoretical X-ray powder pattern. Radiation: copper Kα. Structure: the GGA-PBE geometry in the Materials Project.
Intensities are scaled so that the largest is 100.

Largest 8 diffraction maxima, in order of rising 2θ, 2θ from 5° to 70°:
| 2θ (°) | intensity |
| --- | --- |
| 10.23 | 100 |
| 17.77 | 73 |
| 20.55 | 30 |
| 27.57 | 14 |
| 32.99 | 44 |
| 35.99 | 13 |
| 37.72 | 39 |
| 45.92 | 32 |

Crystal structure
Cell: 9.983 9.983 3.489 Å, 90.00 90.00 120.00°
Positions (direct):
Lu: 0.333 0.667 0.250
Lu: 0.667 0.333 0.750
Cl: 0.221 0.442 0.750
Cl: 0.221 0.779 0.750
Cl: 0.442 0.221 0.250
Cl: 0.558 0.779 0.750
Cl: 0.779 0.221 0.250
Cl: 0.779 0.558 0.250



This entry pairs a crystal structure of BaLa3 with its theoretical X-ray powder pattern. Radiation: copper Kα. Structure: the GGA-PBE geometry in the Materials Project.
Intensities are scaled so that the largest is 100.

Largest 8 diffraction maxima, in order of rising 2θ, 2θ from 5° to 70°:
| 2θ (°) | intensity |
| --- | --- |
| 25.90 | 24 |
| 28.89 | 25 |
| 29.72 | 100 |
| 39.18 | 16 |
| 45.68 | 20 |
| 51.71 | 21 |
| 54.96 | 22 |
| 55.46 | 16 |

Crystal structure
Cell: 7.944 7.944 6.182 Å, 90.00 90.00 120.00°
Positions (direct):
Ba: 0.333 0.667 0.250
Ba: 0.667 0.333 0.750
La: 0.156 0.312 0.750
La: 0.156 0.844 0.750
La: 0.312 0.156 0.250
La: 0.688 0.844 0.750
La: 0.844 0.156 0.250
La: 0.844 0.688 0.250



This entry pairs a crystal structure of SrAl2S4 with its theoretical X-ray powder pattern. Radiation: copper Kα. Structure: the GGA-PBE geometry in the Materials Project.
Intensities are scaled so that the largest is 100.

Largest 8 diffraction maxima, in order of rising 2θ, 2θ from 5° to 70°:
| 2θ (°) | intensity |
| --- | --- |
| 17.05 | 82 |
| 23.63 | 31 |
| 23.88 | 66 |
| 30.43 | 51 |
| 30.54 | 51 |
| 37.86 | 36 |
| 38.51 | 100 |
| 57.93 | 35 |

Crystal structure
Cell: 6.089 6.089 10.681 Å, 90.00 90.00 121.35°
Positions (direct):
Sr: 0.000 0.000 0.250
Sr: 0.000 0.000 0.750
Al: 0.260 0.738 0.000
Al: 0.262 0.740 0.500
Al: 0.738 0.260 0.500
Al: 0.740 0.262 0.000
S: 0.000 0.500 0.161
S: 0.000 0.500 0.839
S: 0.145 0.322 0.500
S: 0.322 0.145 0.000
S: 0.500 0.000 0.339
S: 0.500 0.000 0.661
S: 0.678 0.855 0.000
S: 0.855 0.678 0.500



This entry pairs a crystal structure of Rb2TlAgBr6 with its theoretical X-ray powder pattern. Radiation: copper Kα. Structure: the GGA-PBE geometry in the Materials Project.
Intensities are scaled so that the largest is 100.

Largest 8 diffraction maxima, in order of rising 2θ, 2θ from 5° to 70°:
| 2θ (°) | intensity |
| --- | --- |
| 15.75 | 52 |
| 22.35 | 52 |
| 27.46 | 26 |
| 31.82 | 100 |
| 35.69 | 28 |
| 39.23 | 24 |
| 45.62 | 72 |
| 56.69 | 25 |

Crystal structure
Cell: 7.955 7.955 7.955 Å, 60.00 60.00 60.00°
Positions (direct):
Rb: 0.250 0.250 0.250
Rb: 0.750 0.750 0.750
Tl: 0.000 0.000 0.000
Ag: 0.500 0.500 0.500
Br: 0.252 0.252 0.748
Br: 0.252 0.748 0.252
Br: 0.252 0.748 0.748
Br: 0.748 0.252 0.252
Br: 0.748 0.252 0.748
Br: 0.748 0.748 0.252